Structure and simulated X-ray powder pattern of CaLa3Hg6 (the PBE geometry in Alexandria; Cu Kα X-rays).

```
data_CaLa3Hg6
_chemical_formula_sum 'Ca2 La6 Hg12'
_cell_length_a 9.6059
_cell_length_b 5.2881
_cell_length_c 11.6201
_cell_angle_alpha 90.00
_cell_angle_beta 107.57
_cell_angle_gamma 90.00
_space_group_name_H-M_alt 'P 1 21/m 1'
_space_group_IT_number 11
loop_
_space_group_symop_operation_xyz
'x,y,z'
'-x,-y,-z'
'-x,y+1/2,-z'
'x,-y+1/2,z'
loop_
_atom_site_label
_atom_site_type_symbol
_atom_site_fract_x
_atom_site_fract_y
_atom_site_fract_z
Ca1 Ca 0.0560 0.2500 0.4048
La1 La 0.2222 0.2500 0.0165
La2 La 0.3549 0.7500 0.7845
La3 La 0.4859 0.2500 0.6219
Hg1 Hg 0.0634 0.7500 0.8790
Hg2 Hg 0.1414 0.7500 0.1861
Hg3 Hg 0.1506 0.2500 0.7007
Hg4 Hg 0.2462 0.7500 0.4936
Hg5 Hg 0.3284 0.2500 0.3091
Hg6 Hg 0.4668 0.7500 0.0783
```

Top 10 peaks for 10° ≤ 2θ ≤ 80°, sorted by position:
32.34°, I = 46.3; 32.70°, I = 100.0; 33.39°, I = 99.7; 33.90°, I = 54.3; 47.32°, I = 17.2; 47.55°, I = 32.0; 58.79°, I = 12.8; 59.48°, I = 17.5; 59.90°, I = 18.3; 60.35°, I = 20.5

---

Structure and simulated X-ray powder pattern of InBBr4 (the PBE geometry in Alexandria; Cu Kα X-rays).

```
data_InBBr4
_chemical_formula_sum 'In4 B4 Br16'
_cell_length_a 11.1091
_cell_length_b 11.3062
_cell_length_c 6.5851
_cell_angle_alpha 90.00
_cell_angle_beta 90.00
_cell_angle_gamma 90.00
_space_group_name_H-M_alt 'A m a 2'
_space_group_IT_number 40
loop_
_space_group_symop_operation_xyz
'x,y,z'
'-x,-y,z'
'-x+1/2,y,z'
'x+1/2,-y,z'
'x,y+1/2,z+1/2'
'-x,-y+1/2,z+1/2'
'-x+1/2,y+1/2,z+1/2'
'x+1/2,-y+1/2,z+1/2'
loop_
_atom_site_label
_atom_site_type_symbol
_atom_site_fract_x
_atom_site_fract_y
_atom_site_fract_z
In1 In 0.0000 0.0000 0.0000
B1 B 0.2500 0.1247 0.4072
Br1 Br 0.1000 0.2112 0.3088
Br2 Br 0.2500 0.1188 0.7154
Br3 Br 0.2500 0.4572 0.7921
```

Top 10 peaks for 10° ≤ 2θ ≤ 80°, sorted by position:
15.57°, I = 33.3; 17.57°, I = 49.1; 22.37°, I = 90.9; 28.45°, I = 74.0; 28.76°, I = 100.0; 31.60°, I = 50.5; 31.75°, I = 54.7; 35.45°, I = 60.6; 36.02°, I = 64.5; 42.72°, I = 36.5

---

Structure and simulated X-ray powder pattern of LiCu5P2 (the PBE geometry in Alexandria; Cu Kα X-rays).

```
data_LiCu5P2
_chemical_formula_sum 'Li2 Cu10 P4'
_cell_length_a 3.8298
_cell_length_b 6.8450
_cell_length_c 8.4124
_cell_angle_alpha 90.00
_cell_angle_beta 90.00
_cell_angle_gamma 90.00
_space_group_name_H-M_alt 'I m m m'
_space_group_IT_number 71
_space_group_name_Hall '-I 2 2'
loop_
_atom_site_label
_atom_site_type_symbol
_atom_site_fract_x
_atom_site_fract_y
_atom_site_fract_z
Li1 Li 0.0000 0.0000 0.0000
Cu1 Cu 0.0000 0.1804 0.3410
Cu2 Cu 0.0000 0.5000 0.0000
P1 P 0.0000 0.5000 0.2702
```

Top 10 peaks for 10° ≤ 2θ ≤ 80°, sorted by position:
16.70°, I = 92.2; 21.12°, I = 20.6; 36.80°, I = 48.4; 39.84°, I = 100.0; 46.32°, I = 70.7; 47.48°, I = 36.1; 50.97°, I = 20.2; 51.33°, I = 24.9; 51.65°, I = 40.3; 72.76°, I = 26.5

---

Structure and simulated X-ray powder pattern of Mg7InAg2 (the PBE geometry in Alexandria; Cu Kα X-rays).

```
data_Mg7InAg2
_chemical_formula_sum 'Mg7 In1 Ag2'
_cell_length_a 4.7999
_cell_length_b 4.7999
_cell_length_c 11.4513
_cell_angle_alpha 90.00
_cell_angle_beta 90.00
_cell_angle_gamma 120.00
_space_group_name_H-M_alt 'P 3 m 1'
_space_group_IT_number 156
loop_
_space_group_symop_operation_xyz
'x,y,z'
'-y,x-y,z'
'-x+y,-x,z'
'-y,-x,z'
'-x+y,y,z'
'x,x-y,z'
loop_
_atom_site_label
_atom_site_type_symbol
_atom_site_fract_x
_atom_site_fract_y
_atom_site_fract_z
Mg1 Mg 0.0000 0.0000 0.0000
Mg2 Mg 0.0000 0.0000 0.2567
Mg3 Mg 0.0000 0.0000 0.5326
Mg4 Mg 0.3333 0.6667 0.1338
Mg5 Mg 0.3333 0.6667 0.6977
Mg6 Mg 0.6667 0.3333 0.3607
Mg7 Mg 0.6667 0.3333 0.8512
In1 In 0.3333 0.6667 0.4275
Ag1 Ag 0.0000 0.0000 0.7664
Ag2 Ag 0.6667 0.3333 0.1080
```

Top 10 peaks for 10° ≤ 2θ ≤ 80°, sorted by position:
22.76°, I = 100.0; 23.30°, I = 36.1; 26.50°, I = 34.4; 37.47°, I = 77.6; 38.17°, I = 67.8; 44.29°, I = 16.8; 44.60°, I = 37.6; 45.20°, I = 14.3; 54.56°, I = 23.0; 68.07°, I = 22.9

---

Structure and simulated X-ray powder pattern of Mn2Sn2Cl7 (the PBE geometry in Alexandria; Cu Kα X-rays).

```
data_Mn2Sn2Cl7
_chemical_formula_sum 'Mn8 Sn8 Cl28'
_cell_length_a 11.2507
_cell_length_b 6.4766
_cell_length_c 16.9909
_cell_angle_alpha 90.00
_cell_angle_beta 108.00
_cell_angle_gamma 90.00
_space_group_name_H-M_alt 'C 1 2/c 1'
_space_group_IT_number 15
loop_
_space_group_symop_operation_xyz
'x,y,z'
'-x,-y,-z'
'-x,y,-z+1/2'
'x,-y,z+1/2'
'x+1/2,y+1/2,z'
'-x+1/2,-y+1/2,-z'
'-x+1/2,y+1/2,-z+1/2'
'x+1/2,-y+1/2,z+1/2'
loop_
_atom_site_label
_atom_site_type_symbol
_atom_site_fract_x
_atom_site_fract_y
_atom_site_fract_z
Mn1 Mn 0.0722 0.2393 0.4975
Sn1 Sn 0.2311 0.4413 0.2617
Cl1 Cl 0.0000 0.4496 0.7500
Cl2 Cl 0.0127 0.0551 0.9012
Cl3 Cl 0.1201 0.4325 0.0837
Cl4 Cl 0.2186 0.4011 0.4181
```

Top 10 peaks for 10° ≤ 2θ ≤ 80°, sorted by position:
16.81°, I = 100.0; 22.00°, I = 44.2; 22.59°, I = 37.5; 28.10°, I = 41.4; 29.72°, I = 52.6; 31.87°, I = 38.6; 32.29°, I = 31.0; 33.27°, I = 30.4; 41.92°, I = 31.1; 43.72°, I = 39.7

---

Copy entry 1 word for word.
Structure and simulated X-ray powder pattern of CaLa3Hg6 (the PBE geometry in Alexandria; Cu Kα X-rays).

```
data_CaLa3Hg6
_chemical_formula_sum 'Ca2 La6 Hg12'
_cell_length_a 9.6059
_cell_length_b 5.2881
_cell_length_c 11.6201
_cell_angle_alpha 90.00
_cell_angle_beta 107.57
_cell_angle_gamma 90.00
_space_group_name_H-M_alt 'P 1 21/m 1'
_space_group_IT_number 11
loop_
_space_group_symop_operation_xyz
'x,y,z'
'-x,-y,-z'
'-x,y+1/2,-z'
'x,-y+1/2,z'
loop_
_atom_site_label
_atom_site_type_symbol
_atom_site_fract_x
_atom_site_fract_y
_atom_site_fract_z
Ca1 Ca 0.0560 0.2500 0.4048
La1 La 0.2222 0.2500 0.0165
La2 La 0.3549 0.7500 0.7845
La3 La 0.4859 0.2500 0.6219
Hg1 Hg 0.0634 0.7500 0.8790
Hg2 Hg 0.1414 0.7500 0.1861
Hg3 Hg 0.1506 0.2500 0.7007
Hg4 Hg 0.2462 0.7500 0.4936
Hg5 Hg 0.3284 0.2500 0.3091
Hg6 Hg 0.4668 0.7500 0.0783
```

Top 10 peaks for 10° ≤ 2θ ≤ 80°, sorted by position:
32.34°, I = 46.3; 32.70°, I = 100.0; 33.39°, I = 99.7; 33.90°, I = 54.3; 47.32°, I = 17.2; 47.55°, I = 32.0; 58.79°, I = 12.8; 59.48°, I = 17.5; 59.90°, I = 18.3; 60.35°, I = 20.5